The following is a computed powder XRD pattern of Rb2PmSbS4. It was derived from DFT lattice parameters and positions (PBE), using a wavelength of 1.5418 Å.

Structural model:
Cell lengths 8.631, 8.637, 12.207 Å; angles 90.00, 90.00, 90.00 degrees
Space group Imma (No. 74)
Asymmetric unit:
Rb  0.000  0.000  0.000 [4 per cell]
Rb  0.250  0.250  0.250 [4 per cell]
Pm  0.000  0.000  0.500 [4 per cell]
Sb  0.250  0.250  0.750 [4 per cell]
S  0.000  0.035  0.734 [8 per cell]
S  0.217  0.250  0.519 [8 per cell]

Largest 6 diffraction maxima, in order of rising 2θ, 2θ = 10–90°:
25.3°, I 59, hkl 0 2 2
29.3°, I 100, hkl 2 2 0
41.9°, I 70, hkl 4 0 0
49.5°, I 34, hkl 0 2 6
51.9°, I 24, hkl 4 0 4
68.8°, I 28, hkl 6 2 0



The following is a computed powder XRD pattern of RbPmSiS4. It was derived from DFT lattice parameters and positions (PBE), using a wavelength of 1.5418 Å.

Structural model:
Cell lengths 6.525, 6.679, 9.124 Å; angles 90.00, 107.61, 90.00 degrees
Space group P2_1/m (No. 11)
Asymmetric unit:
Rb  0.227  0.250  0.435 [2 per cell]
Pm  0.271  0.250  0.951 [2 per cell]
Si  0.282  0.750  0.171 [2 per cell]
S  0.089  0.750  0.320 [2 per cell]
S  0.091  0.750  0.936 [2 per cell]
S  0.499  0.501  0.208 [4 per cell]

Largest 6 diffraction maxima, in order of rising 2θ, 2θ = 10–90°:
10.2°, I 100, hkl 0 0 1
19.5°, I 98, hkl 1 1 0
26.7°, I 60, hkl 0 2 0
29.8°, I 47, hkl 2 0 -2
31.4°, I 66, hkl 1 1 2
39.6°, I 76, hkl 1 0 -4



The following is a computed powder XRD pattern of Rb3Pm2SnS6. It was derived from DFT lattice parameters and positions (PBE), using a wavelength of 1.5418 Å.

Structural model:
Cell lengths 7.217, 12.501, 8.051 Å; angles 90.00, 107.38, 90.00 degrees
Space group C2/m (No. 12)
Asymmetric unit:
Rb  0.000  0.000  0.000 [2 per cell]
Rb  0.000  0.334  0.000 [4 per cell]
Pm  0.000  0.167  0.500 [4 per cell]
Sn  0.000  0.500  0.500 [2 per cell]
S  0.229  0.336  0.694 [8 per cell]
S  0.237  0.000  0.695 [4 per cell]

Largest 6 diffraction maxima, in order of rising 2θ, 2θ = 10–90°:
11.5°, I 20, hkl 0 0 1
23.2°, I 21, hkl 0 0 2
25.9°, I 41, hkl 2 0 0
29.2°, I 100, hkl 1 3 1
40.0°, I 36, hkl 2 0 2
43.4°, I 34, hkl 0 6 0



The following is a computed powder XRD pattern of Rb4Pm3ThS8. It was derived from DFT lattice parameters and positions (PBE), using a wavelength of 1.5418 Å.

Structural model:
Cell lengths 8.3586, 8.3586, 23.1769 Å; angles 90.00, 90.00, 120.00 degrees
Space group R-3m (No. 166, hexagonal axes)
Asymmetric unit:
Rb  0.0000  0.0000  0.0000 [3 per cell]
Rb  0.0000  0.5000  0.0000 [9 per cell]
Pm  0.0000  0.5000  0.5000 [9 per cell]
Th  0.0000  0.0000  0.5000 [3 per cell]
S  0.0000  0.0000  0.2327 [6 per cell]
S  0.0047  0.5024  0.2326 [18 per cell]

Largest 6 diffraction maxima, in order of rising 2θ, 2θ = 10–90°:
11.5°, I 30, hkl 0 0 3
23.0°, I 23, hkl 0 0 6
25.8°, I 47, hkl 2 0 2
29.1°, I 100, hkl 0 2 4
39.9°, I 37, hkl 2 0 8
43.3°, I 34, hkl 2 2 0



The following is a computed powder XRD pattern of Rb4Pm3TmS8. It was derived from DFT lattice parameters and positions (PBE), using a wavelength of 1.5418 Å.

Structural model:
Cell lengths 8.3046, 8.3046, 23.1205 Å; angles 90.00, 90.00, 120.00 degrees
Space group R-3m (No. 166, hexagonal axes)
Asymmetric unit:
Rb  0.0000  0.0000  0.0000 [3 per cell]
Rb  0.0000  0.5000  0.0000 [9 per cell]
Pm  0.0000  0.5000  0.5000 [9 per cell]
Tm  0.0000  0.0000  0.5000 [3 per cell]
S  0.0000  0.0000  0.2324 [6 per cell]
S  0.0088  0.5044  0.2312 [18 per cell]

Largest 6 diffraction maxima, in order of rising 2θ, 2θ = 10–90°:
11.5°, I 26, hkl 0 0 3
23.1°, I 23, hkl 0 0 6
25.9°, I 44, hkl 2 0 2
29.2°, I 100, hkl 0 2 4
40.0°, I 37, hkl 2 0 8
43.6°, I 34, hkl 2 2 0



The following is a computed powder XRD pattern of RbPm6Se8. It was derived from DFT lattice parameters and positions (PBE), using a wavelength of 1.5418 Å.

Structural model:
Cell lengths 11.3672, 11.3672, 4.2785 Å; angles 90.00, 90.00, 120.00 degrees
Space group P-3 (No. 147)
Asymmetric unit:
Rb  0.0000  0.0000  0.0000 [1 per cell]
Pm  0.1383  0.6579  0.2508 [6 per cell]
Se  0.0460  0.3591  0.2487 [6 per cell]
Se  0.3333  0.6667  0.7508 [2 per cell]

Largest 6 diffraction maxima, in order of rising 2θ, 2θ = 10–90°:
22.7°, I 46, hkl 0 1 1
23.9°, I 44, hkl 2 1 0
31.9°, I 100, hkl 3 -1 1
32.8°, I 41, hkl 1 3 0
38.0°, I 87, hkl 2 2 1
45.4°, I 31, hkl 5 -2 1



The following is a computed powder XRD pattern of RbPmSnSe3. It was derived from DFT lattice parameters and positions (PBE), using a wavelength of 1.5418 Å.

Structural model:
Cell lengths 8.940, 4.272, 11.763 Å; angles 90.00, 107.94, 90.00 degrees
Space group P2_1/m (No. 11)
Asymmetric unit:
Rb  0.226  0.250  0.261 [2 per cell]
Pm  0.360  0.750  0.851 [2 per cell]
Sn  0.144  0.250  0.565 [2 per cell]
Se  0.112  0.250  0.784 [2 per cell]
Se  0.352  0.750  0.593 [2 per cell]
Se  0.404  0.750  0.106 [2 per cell]

Largest 6 diffraction maxima, in order of rising 2θ, 2θ = 10–90°:
11.0°, I 94, hkl 1 0 -1
25.7°, I 39, hkl 1 1 1
29.6°, I 100, hkl 2 1 0
30.4°, I 45, hkl 1 0 -4
42.3°, I 25, hkl 0 2 0
42.6°, I 39, hkl 1 1 4



The following is a computed powder XRD pattern of Rb4TbPm3Se8. It was derived from DFT lattice parameters and positions (PBE), using a wavelength of 1.5418 Å.

Structural model:
Cell lengths 8.6540, 8.6540, 24.0456 Å; angles 90.00, 90.00, 120.00 degrees
Space group R-3m (No. 166, hexagonal axes)
Asymmetric unit:
Rb  0.0000  0.0000  0.0000 [3 per cell]
Rb  0.0000  0.5000  0.0000 [9 per cell]
Tb  0.0000  0.0000  0.5000 [3 per cell]
Pm  0.0000  0.5000  0.5000 [9 per cell]
Se  0.0000  0.0000  0.2335 [6 per cell]
Se  0.0047  0.5024  0.2328 [18 per cell]

Largest 6 diffraction maxima, in order of rising 2θ, 2θ = 10–90°:
11.0°, I 25, hkl 0 0 3
28.1°, I 100, hkl 0 2 4
38.4°, I 34, hkl 2 0 8
41.8°, I 36, hkl 2 2 0
51.1°, I 19, hkl 4 0 4
68.0°, I 16, hkl 2 4 4



The following is a computed powder XRD pattern of Rb3Pm3YSe8. It was derived from DFT lattice parameters and positions (PBE), using a wavelength of 1.5418 Å.

Structural model:
Cell lengths 8.5438, 8.5438, 24.5531 Å; angles 90.00, 90.00, 120.00 degrees
Space group R-3m (No. 166, hexagonal axes)
Asymmetric unit:
Rb  0.0000  0.5000  0.0000 [9 per cell]
Pm  0.0000  0.5000  0.5000 [9 per cell]
Y  0.0000  0.0000  0.5000 [3 per cell]
Se  0.0000  0.0000  0.2334 [6 per cell]
Se  0.0058  0.5029  0.2315 [18 per cell]

Largest 6 diffraction maxima, in order of rising 2θ, 2θ = 10–90°:
10.8°, I 38, hkl 0 0 3
28.2°, I 100, hkl 0 2 4
35.3°, I 17, hkl 0 2 7
38.1°, I 33, hkl 2 0 8
42.3°, I 36, hkl 2 2 0
51.6°, I 18, hkl 4 0 4



The following is a computed powder XRD pattern of Rb3Pm2SnTe6. It was derived from DFT lattice parameters and positions (PBE), using a wavelength of 1.5418 Å.

Structural model:
Cell lengths 7.993, 13.844, 8.959 Å; angles 90.00, 107.32, 90.00 degrees
Space group C2/m (No. 12)
Asymmetric unit:
Rb  0.000  0.000  0.000 [2 per cell]
Rb  0.000  0.332  0.000 [4 per cell]
Pm  0.000  0.166  0.500 [4 per cell]
Sn  0.000  0.500  0.500 [2 per cell]
Te  0.231  0.336  0.700 [8 per cell]
Te  0.238  0.000  0.701 [4 per cell]

Largest 6 diffraction maxima, in order of rising 2θ, 2θ = 10–90°:
10.3°, I 22, hkl 0 0 1
26.3°, I 100, hkl 1 3 1
35.9°, I 33, hkl 2 0 2
39.0°, I 38, hkl 0 6 0
47.7°, I 20, hkl 4 0 0
63.2°, I 17, hkl 4 6 0



The following is a computed powder XRD pattern of Rb3PmTe3. It was derived from DFT lattice parameters and positions (PBE), using a wavelength of 1.5418 Å.

Structural model:
Cell lengths 10.0699, 10.0699, 10.4020 Å; angles 90.00, 90.00, 120.00 degrees
Space group R3m (No. 160, hexagonal axes)
Asymmetric unit:
Rb  0.2011  0.4022  0.0000 [9 per cell]
Pm  0.0000  0.0000  0.7252 [3 per cell]
Te  0.0196  0.5098  0.2478 [9 per cell]

Largest 6 diffraction maxima, in order of rising 2θ, 2θ = 10–90°:
13.2°, I 34, hkl 1 0 1
26.7°, I 100, hkl 2 0 2
28.4°, I 40, hkl 2 1 1
31.3°, I 19, hkl 1 1 3
35.7°, I 43, hkl 2 2 0
55.0°, I 18, hkl 4 0 4



The following is a computed powder XRD pattern of RbPmTe4. It was derived from DFT lattice parameters and positions (PBE), using a wavelength of 1.5418 Å.

Structural model:
Cell lengths 6.942, 6.942, 9.303 Å; angles 90.00, 90.00, 90.00 degrees
Space group P4/nbm (No. 125, origin choice 2)
Asymmetric unit:
Rb  0.250  0.250  0.000 [2 per cell]
Pm  0.250  0.250  0.500 [2 per cell]
Te  0.106  0.606  0.296 [8 per cell]

Largest 6 diffraction maxima, in order of rising 2θ, 2θ = 10–90°:
26.4°, I 83, hkl 1 1 2
30.4°, I 100, hkl 2 1 1
32.2°, I 36, hkl 2 0 2
41.1°, I 63, hkl 3 1 0
48.9°, I 32, hkl 0 0 5
56.6°, I 23, hkl 4 0 2